Diffraction record for BaTm2Se4. The X-ray diffraction stick pattern is theoretical, not measured: it uses the PBE geometry in the Materials Project and CuKα.
Kinematic intensities with the Lorentz-polarization factor, no thermal factor.

Cell and atoms:
a = 12.8204 Å, b = 4.1692 Å, c = 15.0823 Å
α = 90.00°, β = 90.00°, γ = 90.00°
Fractional coordinates of all 28 atoms:
Ba (0.2407, 0.2500, 0.1651)
Ba (0.2593, 0.7500, 0.6651)
Ba (0.7407, 0.2500, 0.3349)
Ba (0.7593, 0.7500, 0.8349)
Tm (0.0630, 0.2500, 0.3909)
Tm (0.0790, 0.2500, 0.9006)
Tm (0.4210, 0.7500, 0.4006)
Tm (0.4370, 0.7500, 0.8909)
Tm (0.5630, 0.2500, 0.1091)
Tm (0.5790, 0.2500, 0.5994)
Tm (0.9210, 0.7500, 0.0994)
Tm (0.9370, 0.7500, 0.6091)
Se (0.0250, 0.7500, 0.7834)
Se (0.0841, 0.2500, 0.5761)
Se (0.1238, 0.7500, 0.0242)
Se (0.2057, 0.7500, 0.3395)
Se (0.2943, 0.2500, 0.8395)
Se (0.3762, 0.2500, 0.5242)
Se (0.4159, 0.7500, 0.0761)
Se (0.4750, 0.2500, 0.2834)
Se (0.5250, 0.7500, 0.7166)
Se (0.5841, 0.2500, 0.9239)
Se (0.6238, 0.7500, 0.4758)
Se (0.7057, 0.7500, 0.1605)
Se (0.7943, 0.2500, 0.6605)
Se (0.8762, 0.2500, 0.9758)
Se (0.9159, 0.7500, 0.4239)
Se (0.9750, 0.2500, 0.2166)

Principal peaks in the range 5° ≤ 2θ ≤ 70°, low angle first:
| Position (°2θ) | Rel. int. |
| --- | --- |
| 23.93 | 100 |
| 25.38 | 68 |
| 28.67 | 85 |
| 30.52 | 68 |
| 35.00 | 98 |
| 35.32 | 57 |
| 42.92 | 59 |
| 43.41 | 67 |

---

Diffraction record for BaU2Se5. The X-ray diffraction stick pattern is theoretical, not measured: it uses the PBE geometry in the Materials Project and CuKα.
Kinematic intensities with the Lorentz-polarization factor, no thermal factor.

Cell and atoms:
a = 8.8481 Å, b = 7.8780 Å, c = 12.2971 Å
α = 90.00°, β = 90.26°, γ = 90.00°
Fractional coordinates of all 32 atoms:
Ba (0.0078, 0.0553, 0.3310)
Ba (0.0078, 0.4447, 0.8310)
Ba (0.9922, 0.5553, 0.1690)
Ba (0.9922, 0.9447, 0.6690)
U (0.2565, 0.5708, 0.4921)
U (0.2565, 0.9292, 0.9921)
U (0.4992, 0.5233, 0.1816)
U (0.4992, 0.9767, 0.6816)
U (0.5008, 0.0233, 0.3184)
U (0.5008, 0.4767, 0.8184)
U (0.7435, 0.0708, 0.0079)
U (0.7435, 0.4292, 0.5079)
Se (0.0391, 0.1768, 0.0711)
Se (0.0391, 0.3232, 0.5711)
Se (0.2747, 0.6874, 0.7157)
Se (0.2747, 0.8126, 0.2157)
Se (0.2840, 0.1602, 0.8119)
Se (0.2840, 0.3398, 0.3119)
Se (0.2921, 0.5480, 0.9984)
Se (0.2921, 0.9520, 0.4984)
Se (0.4552, 0.1637, 0.0973)
Se (0.4552, 0.3363, 0.5973)
Se (0.5448, 0.6637, 0.4027)
Se (0.5448, 0.8363, 0.9027)
Se (0.7079, 0.0480, 0.5016)
Se (0.7079, 0.4520, 0.0016)
Se (0.7160, 0.6602, 0.6881)
Se (0.7160, 0.8398, 0.1881)
Se (0.7253, 0.1874, 0.7843)
Se (0.7253, 0.3126, 0.2843)
Se (0.9609, 0.6768, 0.4289)
Se (0.9609, 0.8232, 0.9289)

Principal peaks in the range 5° ≤ 2θ ≤ 70°, low angle first:
| Position (°2θ) | Rel. int. |
| --- | --- |
| 10.00 | 52 |
| 24.18 | 82 |
| 24.48 | 100 |
| 31.25 | 97 |
| 33.73 | 80 |
| 33.82 | 66 |
| 35.65 | 46 |
| 40.80 | 79 |

---

Diffraction record for Ba4USe6. The X-ray diffraction stick pattern is theoretical, not measured: it uses the PBE geometry in the Materials Project and CuKα.
Kinematic intensities with the Lorentz-polarization factor, no thermal factor.

Cell and atoms:
a = 9.0898 Å, b = 9.0898 Å, c = 9.0898 Å
α = 89.52°, β = 89.52°, γ = 89.52°
Fractional coordinates of all 22 atoms:
Ba (0.1253, 0.7500, 0.3747)
Ba (0.2500, 0.2500, 0.2500)
Ba (0.2500, 0.6253, 0.8747)
Ba (0.3747, 0.1253, 0.7500)
Ba (0.6253, 0.8747, 0.2500)
Ba (0.7500, 0.3747, 0.1253)
Ba (0.7500, 0.7500, 0.7500)
Ba (0.8747, 0.2500, 0.6253)
U (0.0000, 0.0000, 0.0000)
U (0.5000, 0.5000, 0.5000)
Se (0.0610, 0.9235, 0.7018)
Se (0.0765, 0.2982, 0.9390)
Se (0.2018, 0.4235, 0.5610)
Se (0.2982, 0.9390, 0.0765)
Se (0.4235, 0.5610, 0.2018)
Se (0.4390, 0.7982, 0.5765)
Se (0.5610, 0.2018, 0.4235)
Se (0.5765, 0.4390, 0.7982)
Se (0.7018, 0.0610, 0.9235)
Se (0.7982, 0.5765, 0.4390)
Se (0.9235, 0.7018, 0.0610)
Se (0.9390, 0.0765, 0.2982)

Principal peaks in the range 5° ≤ 2θ ≤ 70°, low angle first:
| Position (°2θ) | Rel. int. |
| --- | --- |
| 13.72 | 46 |
| 13.84 | 43 |
| 24.08 | 79 |
| 27.64 | 51 |
| 29.59 | 54 |
| 31.04 | 99 |
| 32.70 | 100 |
| 42.20 | 52 |

---

Diffraction record for BaU2Se5. The X-ray diffraction stick pattern is theoretical, not measured: it uses the PBE geometry in the Materials Project and CuKα.
Kinematic intensities with the Lorentz-polarization factor, no thermal factor.

Cell and atoms:
a = 13.3758 Å, b = 8.2844 Å, c = 7.8632 Å
α = 90.00°, β = 90.00°, γ = 90.00°
Fractional coordinates of all 32 atoms:
Ba (0.0050, 0.2500, 0.0855)
Ba (0.4950, 0.7500, 0.5855)
Ba (0.5050, 0.2500, 0.4145)
Ba (0.9950, 0.7500, 0.9145)
U (0.1830, 0.0004, 0.5067)
U (0.1830, 0.4996, 0.5067)
U (0.3170, 0.9996, 0.0067)
U (0.3170, 0.5004, 0.0067)
U (0.6830, 0.0004, 0.9933)
U (0.6830, 0.4996, 0.9933)
U (0.8170, 0.9996, 0.4933)
U (0.8170, 0.5004, 0.4933)
Se (0.0070, 0.2500, 0.4930)
Se (0.1297, 0.5509, 0.1676)
Se (0.1297, 0.9491, 0.1676)
Se (0.1849, 0.2500, 0.8168)
Se (0.2197, 0.7500, 0.7821)
Se (0.2803, 0.2500, 0.2821)
Se (0.3151, 0.7500, 0.3168)
Se (0.3703, 0.0509, 0.6676)
Se (0.3703, 0.4491, 0.6676)
Se (0.4930, 0.7500, 0.9930)
Se (0.5070, 0.2500, 0.0070)
Se (0.6297, 0.5509, 0.3324)
Se (0.6297, 0.9491, 0.3324)
Se (0.6849, 0.2500, 0.6832)
Se (0.7197, 0.7500, 0.7179)
Se (0.7803, 0.2500, 0.2179)
Se (0.8151, 0.7500, 0.1832)
Se (0.8703, 0.0509, 0.8324)
Se (0.8703, 0.4491, 0.8324)
Se (0.9930, 0.7500, 0.5070)

Principal peaks in the range 5° ≤ 2θ ≤ 70°, low angle first:
| Position (°2θ) | Rel. int. |
| --- | --- |
| 13.24 | 41 |
| 22.93 | 60 |
| 25.26 | 82 |
| 31.60 | 63 |
| 34.18 | 100 |
| 34.46 | 38 |
| 41.81 | 50 |
| 45.74 | 43 |

---

Diffraction record for BaY2Se4. The X-ray diffraction stick pattern is theoretical, not measured: it uses the PBE geometry in the Materials Project and CuKα.
Kinematic intensities with the Lorentz-polarization factor, no thermal factor.

Cell and atoms:
a = 12.9046 Å, b = 4.2104 Å, c = 15.2076 Å
α = 90.00°, β = 90.00°, γ = 90.00°
Fractional coordinates of all 28 atoms:
Ba (0.2409, 0.2500, 0.1645)
Ba (0.2591, 0.7500, 0.6645)
Ba (0.7409, 0.2500, 0.3355)
Ba (0.7591, 0.7500, 0.8355)
Y (0.0643, 0.2500, 0.3914)
Y (0.0790, 0.2500, 0.9004)
Y (0.4210, 0.7500, 0.4004)
Y (0.4357, 0.7500, 0.8914)
Y (0.5643, 0.2500, 0.1086)
Y (0.5790, 0.2500, 0.5996)
Y (0.9210, 0.7500, 0.0996)
Y (0.9357, 0.7500, 0.6086)
Se (0.0242, 0.7500, 0.7834)
Se (0.0848, 0.2500, 0.5769)
Se (0.1260, 0.7500, 0.0248)
Se (0.2062, 0.7500, 0.3363)
Se (0.2938, 0.2500, 0.8363)
Se (0.3740, 0.2500, 0.5248)
Se (0.4152, 0.7500, 0.0769)
Se (0.4758, 0.2500, 0.2834)
Se (0.5242, 0.7500, 0.7166)
Se (0.5848, 0.2500, 0.9231)
Se (0.6260, 0.7500, 0.4752)
Se (0.7062, 0.7500, 0.1637)
Se (0.7938, 0.2500, 0.6637)
Se (0.8740, 0.2500, 0.9752)
Se (0.9152, 0.7500, 0.4231)
Se (0.9758, 0.2500, 0.2166)

Principal peaks in the range 5° ≤ 2θ ≤ 70°, low angle first:
| Position (°2θ) | Rel. int. |
| --- | --- |
| 23.77 | 34 |
| 28.41 | 100 |
| 30.12 | 58 |
| 30.28 | 64 |
| 34.69 | 64 |
| 35.55 | 32 |
| 38.15 | 40 |
| 42.96 | 50 |

---

Diffraction record for BaSi. The X-ray diffraction stick pattern is theoretical, not measured: it uses the PBE geometry in the Materials Project and CuKα.
Kinematic intensities with the Lorentz-polarization factor, no thermal factor.

Cell and atoms:
a = 6.5675 Å, b = 6.5675 Å, c = 4.1576 Å
α = 90.00°, β = 90.00°, γ = 134.67°
Fractional coordinates of all 4 atoms:
Ba (0.1396, 0.8604, 0.7500)
Ba (0.8604, 0.1396, 0.2500)
Si (0.4424, 0.5576, 0.7500)
Si (0.5576, 0.4424, 0.2500)

Principal peaks in the range 5° ≤ 2θ ≤ 70°, low angle first:
| Position (°2θ) | Rel. int. |
| --- | --- |
| 19.00 | 34 |
| 25.99 | 62 |
| 28.26 | 69 |
| 28.75 | 100 |
| 29.48 | 27 |
| 35.47 | 29 |
| 35.71 | 36 |
| 44.50 | 29 |

---

Diffraction record for BaSi. The X-ray diffraction stick pattern is theoretical, not measured: it uses the PBE geometry in the Materials Project and CuKα.
Kinematic intensities with the Lorentz-polarization factor, no thermal factor.

Cell and atoms:
a = 6.5714 Å, b = 6.5714 Å, c = 4.1983 Å
α = 90.86°, β = 90.86°, γ = 45.00°
Fractional coordinates of all 4 atoms:
Ba (0.1372, 0.1372, 0.2592)
Ba (0.8628, 0.8628, 0.7408)
Si (0.4435, 0.4435, 0.2473)
Si (0.5565, 0.5565, 0.7527)

Principal peaks in the range 5° ≤ 2θ ≤ 70°, low angle first:
| Position (°2θ) | Rel. int. |
| --- | --- |
| 19.10 | 53 |
| 25.60 | 51 |
| 26.00 | 46 |
| 28.31 | 100 |
| 28.57 | 67 |
| 28.75 | 80 |
| 29.43 | 42 |
| 35.71 | 43 |

---

Diffraction record for Ba3Si23. The X-ray diffraction stick pattern is theoretical, not measured: it uses the PBE geometry in the Materials Project and CuKα.
Kinematic intensities with the Lorentz-polarization factor, no thermal factor.

Cell and atoms:
a = 10.3106 Å, b = 10.3106 Å, c = 10.3106 Å
α = 90.00°, β = 90.00°, γ = 90.00°
Fractional coordinates of all 52 atoms:
Ba (0.0000, 0.2500, 0.5000)
Ba (0.0000, 0.7500, 0.5000)
Ba (0.2500, 0.5000, 0.0000)
Ba (0.5000, 0.0000, 0.2500)
Ba (0.5000, 0.0000, 0.7500)
Ba (0.7500, 0.5000, 0.0000)
Si (0.0000, 0.3044, 0.1206)
Si (0.0000, 0.3044, 0.8794)
Si (0.0000, 0.5000, 0.2500)
Si (0.0000, 0.5000, 0.7500)
Si (0.0000, 0.6956, 0.1206)
Si (0.0000, 0.6956, 0.8794)
Si (0.1206, 0.0000, 0.3044)
Si (0.1206, 0.0000, 0.6956)
Si (0.1842, 0.1842, 0.1842)
Si (0.1842, 0.1842, 0.8158)
Si (0.1842, 0.8158, 0.1842)
Si (0.1842, 0.8158, 0.8158)
Si (0.1956, 0.5000, 0.3794)
Si (0.1956, 0.5000, 0.6206)
Si (0.2500, 0.0000, 0.5000)
Si (0.3044, 0.1206, 0.0000)
Si (0.3044, 0.8794, 0.0000)
Si (0.3157, 0.3157, 0.3157)
Si (0.3157, 0.3157, 0.6842)
Si (0.3157, 0.6842, 0.3157)
Si (0.3157, 0.6842, 0.6842)
Si (0.3794, 0.1956, 0.5000)
Si (0.3794, 0.8044, 0.5000)
Si (0.5000, 0.2500, 0.0000)
Si (0.5000, 0.3794, 0.1956)
Si (0.5000, 0.3794, 0.8044)
Si (0.5000, 0.6206, 0.1956)
Si (0.5000, 0.6206, 0.8044)
Si (0.5000, 0.7500, 0.0000)
Si (0.6206, 0.1956, 0.5000)
Si (0.6206, 0.8044, 0.5000)
Si (0.6842, 0.3157, 0.3157)
Si (0.6842, 0.3157, 0.6842)
Si (0.6842, 0.6842, 0.3157)
Si (0.6842, 0.6842, 0.6842)
Si (0.6956, 0.1206, 0.0000)
Si (0.6956, 0.8794, 0.0000)
Si (0.7500, 0.0000, 0.5000)
Si (0.8044, 0.5000, 0.3794)
Si (0.8044, 0.5000, 0.6206)
Si (0.8158, 0.1842, 0.1842)
Si (0.8158, 0.1842, 0.8158)
Si (0.8158, 0.8158, 0.1842)
Si (0.8158, 0.8158, 0.8158)
Si (0.8794, 0.0000, 0.3044)
Si (0.8794, 0.0000, 0.6956)

Principal peaks in the range 5° ≤ 2θ ≤ 70°, low angle first:
| Position (°2θ) | Rel. int. |
| --- | --- |
| 12.14 | 37 |
| 19.25 | 58 |
| 30.02 | 90 |
| 31.28 | 100 |
| 32.49 | 95 |
| 34.80 | 33 |
| 51.69 | 55 |
| 54.89 | 42 |

---

Diffraction record for BaSi. The X-ray diffraction stick pattern is theoretical, not measured: it uses the PBE geometry in the Materials Project and CuKα.
Kinematic intensities with the Lorentz-polarization factor, no thermal factor.

Cell and atoms:
a = 6.7609 Å, b = 6.7609 Å, c = 5.8347 Å
α = 90.00°, β = 90.00°, γ = 150.20°
Fractional coordinates of all 4 atoms:
Ba (0.1226, 0.8774, 0.7500)
Ba (0.8774, 0.1226, 0.2500)
Si (0.3873, 0.6127, 0.7500)
Si (0.6127, 0.3873, 0.2500)

Principal peaks in the range 5° ≤ 2θ ≤ 70°, low angle first:
| Position (°2θ) | Rel. int. |
| --- | --- |
| 20.41 | 76 |
| 26.53 | 20 |
| 27.30 | 46 |
| 30.69 | 100 |
| 36.48 | 49 |
| 41.50 | 29 |
| 46.15 | 16 |
| 58.32 | 27 |